Calculated X-ray diffraction stick pattern of SrAcPrSm for λ = 1.5418 Å (Cu Kα), from DFT lattice parameters and positions (PBE).

Structure:
Cell: 8.6813 8.6813 8.6813 Å, 90.00 90.00 90.00°
Fractional coordinates of all 16 atoms:
Sr  0.0000  0.0000  0.0000
Sr  0.0000  0.5000  0.5000
Sr  0.5000  0.0000  0.5000
Sr  0.5000  0.5000  0.0000
Ac  0.0000  0.0000  0.5000
Ac  0.0000  0.5000  0.0000
Ac  0.5000  0.0000  0.0000
Ac  0.5000  0.5000  0.5000
Pr  0.2500  0.2500  0.7500
Pr  0.2500  0.7500  0.2500
Pr  0.7500  0.2500  0.2500
Pr  0.7500  0.7500  0.7500
Sm  0.2500  0.2500  0.2500
Sm  0.2500  0.7500  0.7500
Sm  0.7500  0.2500  0.7500
Sm  0.7500  0.7500  0.2500

Principal peaks in the range 10° ≤ 2θ ≤ 90°, by angle:
d = 5.012 Å, 17.70°, intensity 10, hkl 1 1 1
d = 3.069 Å, 29.09°, intensity 100, hkl 2 2 0
d = 2.617 Å, 34.26°, intensity 6, hkl 3 1 1
d = 2.170 Å, 41.61°, intensity 19, hkl 4 0 0
d = 1.992 Å, 45.55°, intensity 3, hkl 3 3 1
d = 1.772 Å, 51.58°, intensity 41, hkl 4 2 2
d = 1.535 Å, 60.31°, intensity 13, hkl 4 4 0
d = 1.373 Å, 68.34°, intensity 18, hkl 6 2 0
d = 1.253 Å, 75.94°, intensity 4, hkl 4 4 4
d = 1.160 Å, 83.29°, intensity 21, hkl 6 4 2